This entry pairs a crystal structure of PmMg9Au3 with its theoretical powder diffraction line list. Radiation: Cu Kα. Structure: a crystal structure in Alexandria, relaxed with PBE.
Neutral-atom scattering factors, no anomalous dispersion.

abc: 5.619 14.000 7.540
angles: 90.00 111.63 90.00
Space group C2/m (No. 12)
One atom of each set of equivalent atoms:
Pm 0.000 0.000 0.000
Mg 0.000 0.000 0.500
Mg 0.097 0.392 0.209
Mg 0.174 0.177 0.337
Au 0.000 0.500 0.500
Au 0.250 0.250 0.000

Most intense lines, 2θ from 10° to 80°, in order of falling intensity:
2θ (°), d_spacing, I (rel.), hkl
36.78, 2.444, 100.0, 2 2 0
17.91, 4.953, 82.8, 0 2 1
25.43, 3.502, 79.9, 0 4 0
36.28, 2.476, 60.0, 0 4 2
12.63, 7.008, 42.2, 0 0 1
18.17, 4.882, 36.1, 1 1 -1
25.59, 3.481, 35.7, 1 3 -1
40.74, 2.215, 35.6, 0 2 3
41.23, 2.190, 30.8, 2 0 -3
36.44, 2.466, 29.6, 1 5 -1
52.64, 1.739, 27.7, 2 6 -2
58.98, 1.566, 24.1, 0 8 2

---

This entry pairs a crystal structure of Pm3MgAu2 with its theoretical powder diffraction line list. Radiation: Cu Kα. Structure: a crystal structure in Alexandria, relaxed with PBE.
Neutral-atom scattering factors, no anomalous dispersion.

abc: 3.747 3.747 11.200
angles: 90.00 90.00 90.00
Space group P4/mmm (No. 123)
One atom of each set of equivalent atoms:
Pm 0.000 0.000 0.000
Pm 0.000 0.000 0.322
Mg 0.500 0.500 0.500
Au 0.500 0.500 0.169

Most intense lines, 2θ from 10° to 80°, in order of falling intensity:
2θ (°), d_spacing, I (rel.), hkl
33.87, 2.647, 100.0, 1 1 0
60.56, 1.529, 25.1, 2 1 3
48.59, 1.874, 12.3, 2 0 0
60.68, 1.526, 11.8, 1 1 6
71.32, 1.322, 7.4, 2 0 6
15.82, 5.600, 6.5, 0 0 2
48.78, 1.867, 5.7, 0 0 6
25.06, 3.554, 4.2, 1 0 1
71.17, 1.325, 4.0, 2 2 0
37.55, 2.395, 3.3, 1 1 2
40.21, 2.243, 3.2, 1 0 4
28.66, 3.114, 3.0, 1 0 2

---

This entry pairs a crystal structure of Pm5MgAu6 with its theoretical powder diffraction line list. Radiation: Cu Kα. Structure: a crystal structure in Alexandria, relaxed with PBE.
Neutral-atom scattering factors, no anomalous dispersion.

abc: 8.958 15.414 5.147
angles: 90.00 125.04 90.00
Space group C2/m (No. 12)
One atom of each set of equivalent atoms:
Pm 0.000 0.000 0.000
Pm 0.000 0.171 0.500
Pm 0.000 0.341 0.000
Mg 0.000 0.500 0.500
Au 0.241 0.000 0.739
Au 0.245 0.337 0.745

Most intense lines, 2θ from 10° to 80°, in order of falling intensity:
2θ (°), d_spacing, I (rel.), hkl
34.74, 2.582, 100.0, 1 3 1
34.89, 2.571, 49.4, 2 0 -2
62.47, 1.487, 36.2, 5 3 -3
62.18, 1.493, 18.4, 6 0 -2
50.18, 1.818, 17.6, 2 6 -2
73.33, 1.291, 11.3, 6 6 -2
49.72, 1.834, 9.1, 4 0 0
24.48, 3.636, 5.7, 1 3 -1
73.62, 1.287, 2.9, 4 0 -4
42.96, 2.105, 2.8, 2 6 0
24.27, 3.667, 2.8, 2 0 0
73.76, 1.285, 2.6, 0 12 0

---

This entry pairs a crystal structure of Pm5MgAu4 with its theoretical powder diffraction line list. Radiation: Cu Kα. Structure: a crystal structure in Alexandria, relaxed with PBE.
Neutral-atom scattering factors, no anomalous dispersion.

abc: 3.721 3.721 18.620
angles: 90.00 90.00 90.00
Space group P4/mmm (No. 123)
One atom of each set of equivalent atoms:
Pm 0.000 0.000 0.000
Pm 0.000 0.000 0.197
Pm 0.000 0.000 0.392
Mg 0.500 0.500 0.500
Au 0.500 0.500 0.098
Au 0.500 0.500 0.299

Most intense lines, 2θ from 10° to 80°, in order of falling intensity:
2θ (°), d_spacing, I (rel.), hkl
34.06, 2.632, 100.0, 1 1 0
60.97, 1.520, 36.9, 2 1 5
48.94, 1.861, 18.0, 2 0 0
71.72, 1.316, 11.3, 2 2 0
14.27, 6.207, 2.4, 0 0 3
37.75, 2.383, 1.9, 1 0 6
24.39, 3.649, 1.7, 1 0 1
19.07, 4.655, 1.2, 0 0 4
25.78, 3.455, 1.2, 1 0 2
34.42, 2.605, 1.0, 1 1 1
37.11, 2.423, 1.0, 1 1 3
27.96, 3.192, 1.0, 1 0 3

---

This entry pairs a crystal structure of PmMg3Au with its theoretical powder diffraction line list. Radiation: Cu Kα. Structure: a crystal structure in Alexandria, relaxed with PBE.
Neutral-atom scattering factors, no anomalous dispersion.

abc: 5.618 5.618 18.373
angles: 90.00 90.00 90.00
Space group I-4m2 (No. 119)
One atom of each set of equivalent atoms:
Pm 0.000 0.000 0.195
Mg 0.000 0.247 0.622
Mg 0.000 0.500 0.041
Au 0.000 0.000 0.500
Au 0.000 0.500 0.750

Most intense lines, 2θ from 10° to 80°, in order of falling intensity:
2θ (°), d_spacing, I (rel.), hkl
21.46, 4.140, 100.0, 1 0 3
38.74, 2.324, 65.6, 2 1 3
16.50, 5.372, 57.3, 1 0 1
31.86, 2.809, 49.1, 2 0 0
37.07, 2.425, 34.8, 1 1 6
37.83, 2.378, 29.5, 1 0 7
37.53, 2.396, 26.1, 2 0 4
55.07, 1.668, 21.8, 1 1 10
19.32, 4.593, 20.2, 0 0 4
60.22, 1.537, 19.1, 3 1 6
45.67, 1.987, 17.7, 2 2 0
74.26, 1.277, 17.6, 3 1 10

---

This entry pairs a crystal structure of PmMgSi2Au5 with its theoretical powder diffraction line list. Radiation: Cu Kα. Structure: a crystal structure in Alexandria, relaxed with PBE.
Neutral-atom scattering factors, no anomalous dispersion.

abc: 4.546 4.546 9.595
angles: 90.00 90.00 90.00
Space group P4/mmm (No. 123)
One atom of each set of equivalent atoms:
Pm 0.000 0.000 0.000
Mg 0.000 0.000 0.500
Si 0.500 0.500 0.245
Au 0.000 0.500 0.332
Au 0.500 0.500 0.000

Most intense lines, 2θ from 10° to 80°, in order of falling intensity:
2θ (°), d_spacing, I (rel.), hkl
29.30, 3.048, 100.0, 1 1 1
33.56, 2.670, 73.4, 1 1 2
27.90, 3.198, 68.5, 0 0 3
39.65, 2.273, 66.5, 2 0 0
49.18, 1.853, 59.5, 2 0 3
47.28, 1.922, 34.2, 1 1 4
64.93, 1.436, 29.1, 2 2 3
57.33, 1.607, 22.8, 2 2 0
65.67, 1.422, 20.8, 3 1 1
39.76, 2.267, 20.4, 1 1 3
68.09, 1.377, 19.5, 3 1 2
55.79, 1.648, 19.4, 1 1 5

---

This entry pairs a crystal structure of PmMg2ZnAu4 with its theoretical powder diffraction line list. Radiation: Cu Kα. Structure: a crystal structure in Alexandria, relaxed with PBE.
Neutral-atom scattering factors, no anomalous dispersion.

abc: 4.6048 4.6048 26.0830
angles: 90.00 90.00 120.00
Space group R-3m (No. 166, hexagonal axes)
One atom of each set of equivalent atoms:
Pm 0.0000 0.0000 0.0000
Mg 0.0000 0.0000 0.2390
Zn 0.0000 0.0000 0.5000
Au 0.0000 0.0000 0.1285
Au 0.0000 0.0000 0.3957

Most intense lines, 2θ from 10° to 80°, in order of falling intensity:
2θ (°), d_spacing, I (rel.), hkl
39.12, 2.302, 100.0, 1 1 0
35.57, 2.524, 83.4, 0 1 8
26.19, 3.402, 54.4, 1 0 4
53.90, 1.701, 25.5, 2 0 8
32.90, 2.723, 24.9, 1 0 7
68.59, 1.368, 24.8, 1 2 8
23.33, 3.814, 21.2, 0 1 2
67.50, 1.388, 20.9, 1 1 15
44.45, 2.038, 18.4, 0 1 11
70.89, 1.329, 17.6, 3 0 0
41.36, 2.183, 17.1, 1 0 10
28.17, 3.168, 11.8, 0 1 5

---

This entry pairs a crystal structure of PmMgZn2Au2 with its theoretical powder diffraction line list. Radiation: Cu Kα. Structure: a crystal structure in Alexandria, relaxed with PBE.
Neutral-atom scattering factors, no anomalous dispersion.

abc: 4.5364 4.5364 6.7583
angles: 90.00 90.00 120.00
Space group P-3m1 (No. 164)
One atom of each set of equivalent atoms:
Pm 0.0000 0.0000 0.0000
Mg 0.0000 0.0000 0.5000
Zn 0.3333 0.6667 0.7068
Au 0.3333 0.6667 0.2776

Most intense lines, 2θ from 10° to 80°, in order of falling intensity:
2θ (°), d_spacing, I (rel.), hkl
39.74, 2.268, 100.0, 1 1 0
35.03, 2.562, 99.9, 1 0 2
26.24, 3.396, 90.2, 0 1 1
48.29, 1.885, 41.7, 2 0 1
53.99, 1.698, 29.0, 0 2 2
69.09, 1.359, 27.5, 2 1 2
57.67, 1.598, 23.6, 1 1 3
69.35, 1.355, 22.5, 1 1 4
26.38, 3.379, 19.8, 0 0 2
72.13, 1.310, 17.2, 3 0 0
64.22, 1.450, 15.8, 1 2 1
46.47, 1.954, 11.9, 0 1 3